Starting from DFT lattice parameters and positions (PBE), the XRD peak list of SnP4O12 was computed for copper Kα.

Structural model:
```
data_SnP4O12
_chemical_formula_sum 'Sn4 P16 O48'
_cell_length_a 11.930
_cell_length_b 8.385
_cell_length_c 10.269
_cell_angle_alpha 90.00
_cell_angle_beta 119.93
_cell_angle_gamma 90.00
_symmetry_space_group_name_H-M 'C 1 2/c 1'
_symmetry_Int_Tables_number 15
loop_
_symmetry_equiv_pos_as_xyz
'x,y,z'
'-x,-y,-z'
'-x,y,-z+1/2'
'x,-y,z+1/2'
'x+1/2,y+1/2,z'
'-x+1/2,-y+1/2,-z'
'-x+1/2,y+1/2,-z+1/2'
'x+1/2,-y+1/2,z+1/2'
loop_
_atom_site_label
_atom_site_type_symbol
_atom_site_fract_x
_atom_site_fract_y
_atom_site_fract_z
_atom_site_occupancy
Sn1 Sn 0.000 0.057 0.250 1
P1 P 0.011 0.263 0.979 1
P2 P 0.202 0.489 0.199 1
O1 O 0.033 0.229 0.408 1
O2 O 0.037 0.123 0.906 1
O3 O 0.089 0.378 0.648 1
O4 O 0.142 0.364 0.057 1
O5 O 0.191 0.070 0.317 1
O6 O 0.229 0.420 0.342 1
```

Most intense lines, 2θ from 15° to 90°, in order of falling intensity:
20.3 deg, rel. 100.0, hkl 1 1 -2
29.3 deg, rel. 85.1, hkl 0 2 2
28.0 deg, rel. 57.9, hkl 3 1 0
17.2 deg, rel. 55.7, hkl 2 0 0
25.8 deg, rel. 52.3, hkl 3 1 -2
37.1 deg, rel. 35.7, hkl 4 2 -2
34.7 deg, rel. 24.0, hkl 4 0 0
26.0 deg, rel. 21.8, hkl 2 2 -1
42.2 deg, rel. 21.3, hkl 1 3 -3
20.0 deg, rel. 19.7, hkl 0 0 2
56.0 deg, rel. 17.2, hkl 7 1 -2
28.9 deg, rel. 16.1, hkl 1 1 -3